Structure and computed PXRD pattern of Pm2Ga3CuNi4 (a crystal structure in Alexandria, relaxed with PBE; Cu Kα, 1.54184 Å).

Structural model:
```
Pm2Ga3CuNi4
1.0
4.104 0.000 0.000
0.000 4.104 0.000
0.000 0.000 9.923
Pm Ga Cu Ni
2 3 1 4
Cartesian
0.000 2.052 2.481 Pm
2.052 0.000 7.442 Pm
0.000 0.000 0.000 Ga
0.000 2.052 6.209 Ga
2.052 0.000 3.715 Ga
2.052 2.052 0.000 Cu
0.000 0.000 4.962 Ni
0.000 2.052 8.605 Ni
2.052 0.000 1.318 Ni
2.052 2.052 4.962 Ni
```

Top 10 peaks for 5° ≤ 2θ ≤ 70°, in order of rising 2θ:
2theta, d_spacing, I (rel.)
30.81, 2.902, 196
34.84, 2.575, 719
35.85, 2.505, 1000
44.13, 2.052, 583
48.26, 1.886, 77
51.12, 1.787, 277
57.42, 1.605, 334
64.19, 1.451, 183
64.89, 1.437, 139
69.79, 1.348, 212


Structure and computed PXRD pattern of K2SiBiO4 (a crystal structure in Alexandria, relaxed with PBE; Cu Kα, 1.54184 Å).

Structural model:
```
K2SiBiO4
1.0
-3.186 3.186 3.495
3.186 -3.186 3.495
3.186 3.186 -3.495
K Si Bi O
2 1 1 4
Cartesian
0.000 0.000 0.000 K
0.000 3.186 1.748 K
3.186 0.000 1.748 Si
0.000 0.000 3.495 Bi
2.114 -0.809 2.738 O
2.376 1.071 0.758 O
1.071 3.995 -0.758 O
0.809 2.114 4.253 O
```

Top 10 peaks for 5° ≤ 2θ ≤ 70°, in order of rising 2θ:
2theta, d_spacing, I (rel.)
18.84, 4.709, 1000
19.71, 4.505, 350
28.01, 3.186, 618
32.42, 2.762, 938
33.98, 2.639, 442
38.22, 2.355, 188
40.03, 2.253, 266
44.99, 2.015, 175
52.41, 1.746, 539
67.91, 1.380, 213


Structure and computed PXRD pattern of Sm3ScAl2 (a crystal structure in Alexandria, relaxed with PBE; Cu Kα, 1.54184 Å).

Structural model:
```
Sm3ScAl2
1.0
-3.242 7.933 3.226
3.242 -7.933 3.226
3.242 7.933 -3.226
Sm Sc Al
6 2 4
Cartesian
4.851 2.799 0.000 Sm
0.000 0.000 1.613 Sm
1.609 5.134 0.000 Sm
1.633 2.799 3.226 Sm
0.000 0.000 4.840 Sm
-1.609 5.134 3.226 Sm
3.242 0.000 1.613 Sc
0.000 7.933 1.613 Sc
1.729 2.034 0.000 Al
1.729 -2.034 3.226 Al
1.513 9.967 0.000 Al
1.513 5.899 3.226 Al
```

Top 10 peaks for 5° ≤ 2θ ≤ 70°, in order of rising 2θ:
2theta, d_spacing, I (rel.)
14.76, 6.002, 162
22.44, 3.963, 460
29.79, 2.999, 1000
29.90, 2.989, 466
33.90, 2.644, 271
35.77, 2.510, 221
35.88, 2.503, 220
39.39, 2.287, 544
52.93, 1.730, 302
54.25, 1.691, 191


Structure and computed PXRD pattern of Pu2TlPb2 (a crystal structure in Alexandria, relaxed with PBE; Cu Kα, 1.54184 Å).

Structural model:
```
Pu2TlPb2
1.0
5.332 0.000 0.000
-2.666 4.618 0.000
0.000 0.000 6.516
Pu Tl Pb
2 1 2
Cartesian
0.000 3.078 0.964 Pu
2.666 1.539 5.551 Pu
0.000 0.000 0.000 Tl
0.000 3.078 4.182 Pb
2.666 1.539 2.334 Pb
```

Top 10 peaks for 5° ≤ 2θ ≤ 70°, in order of rising 2θ:
2theta, d_spacing, I (rel.)
13.59, 6.516, 58
19.22, 4.618, 91
23.62, 3.767, 76
33.64, 2.664, 1000
36.41, 2.467, 33
48.32, 1.884, 194
54.44, 1.686, 20
60.14, 1.539, 298
60.25, 1.536, 76
67.37, 1.390, 37


Structure and computed PXRD pattern of Ho3Tm2Co2 (a crystal structure in Alexandria, relaxed with PBE; Cu Kα, 1.54184 Å).

Structural model:
```
Ho3Tm2Co2
1.0
5.902 -1.822 0.000
5.902 1.822 0.000
-3.847 0.000 7.832
Ho Tm Co
3 2 2
Cartesian
0.000 0.000 0.000 Ho
-0.261 0.000 3.353 Ho
8.219 0.000 4.479 Ho
3.127 0.000 1.521 Tm
4.831 0.000 6.310 Tm
0.867 0.000 5.955 Co
7.091 0.000 1.877 Co
```

Top 10 peaks for 5° ≤ 2θ ≤ 70°, in order of rising 2θ:
2theta, d_spacing, I (rel.)
29.79, 2.999, 574
30.49, 2.932, 702
30.79, 2.904, 911
32.05, 2.793, 827
33.52, 2.673, 997
33.94, 2.641, 1000
35.39, 2.536, 473
35.57, 2.524, 803
37.15, 2.420, 536
50.07, 1.822, 442


Structure and computed PXRD pattern of NdDySc4 (a crystal structure in Alexandria, relaxed with PBE; Cu Kα, 1.54184 Å).

Structural model:
```
NdDySc4
1.0
5.350 0.000 0.000
0.000 10.265 0.000
0.000 0.000 5.986
Nd Dy Sc
2 2 8
Cartesian
1.338 2.566 0.448 Nd
4.013 7.699 5.538 Nd
1.338 7.699 3.448 Dy
4.013 2.566 2.539 Dy
1.338 0.810 3.524 Sc
1.338 4.323 3.524 Sc
1.338 5.951 0.538 Sc
1.338 9.447 0.538 Sc
4.013 0.818 5.448 Sc
4.013 4.315 5.448 Sc
4.013 5.943 2.462 Sc
4.013 9.455 2.462 Sc
```

Top 10 peaks for 5° ≤ 2θ ≤ 70°, in order of rising 2θ:
2theta, d_spacing, I (rel.)
17.28, 5.133, 314
23.93, 3.718, 552
30.08, 2.971, 224
33.50, 2.675, 357
34.33, 2.612, 476
34.53, 2.597, 1000
53.13, 1.724, 181
60.55, 1.529, 187
64.29, 1.449, 199
64.67, 1.441, 178